[1]
Diffraction record for Ho5TePd2. The powder XRD pattern is calculated, not measured: it uses a PBE-relaxed structure and Cu Kα (λ = 1.5418 Å).

Largest 10 diffraction maxima, by angle, 10° ≤ 2θ ≤ 80°:
- 2θ 31.23, I = 20, (1 1 4)
- 2θ 32.57, I = 100, (2 1 3)
- 2θ 35.32, I = 22, (2 0 4)
- 2θ 36.46, I = 53, (3 1 0)
- 2θ 42.52, I = 13, (2 1 5)
- 2θ 52.55, I = 17, (4 2 0)
- 2θ 54.71, I = 13, (0 0 8)
- 2θ 57.19, I = 12, (3 3 4)
- 2θ 67.58, I = 13, (3 1 8)
- 2θ 68.10, I = 21, (4 4 0)

Cell and atoms:
a b c (Å): 7.7922 7.7922 13.4127
angles (deg): 90.00 90.00 90.00
Space group I4/mcm (No. 140)
Unique sites:
Ho (0.0000, 0.0000, 0.0000) x4
Ho (0.1544, 0.3456, 0.1413) x16
Te (0.0000, 0.0000, 0.2500) x4
Pd (0.1377, 0.3623, 0.5000) x8


[2]
Diffraction record for Pm4NdRh3. The powder XRD pattern is calculated, not measured: it uses a PBE-relaxed structure and Cu Kα (λ = 1.5418 Å).

Largest 10 diffraction maxima, by angle, 10° ≤ 2θ ≤ 80°:
- 2θ 28.49, I = 28, (0 0 2)
- 2θ 31.92, I = 71, (3 2 1)
- 2θ 32.68, I = 51, (2 0 2)
- 2θ 35.52, I = 54, (4 2 0)
- 2θ 35.75, I = 100, (4 1 1)
- 2θ 36.44, I = 41, (2 2 2)
- 2θ 43.11, I = 19, (4 0 2)
- 2θ 55.30, I = 28, (4 1 3)
- 2θ 57.67, I = 18, (5 5 0)
- 2θ 66.73, I = 18, (6 4 2)

Cell and atoms:
a b c (Å): 11.3022 11.3022 6.2656
angles (deg): 90.00 90.00 90.00
Space group I4/mcm (No. 140)
Unique sites:
Pm (0.0845, 0.2086, 0.0000) x16
Nd (0.0000, 0.5000, 0.2500) x4
Rh (0.0000, 0.0000, 0.2500) x4
Rh (0.1574, 0.3426, 0.5000) x8


[3]
Diffraction record for CuB5Pt11. The powder XRD pattern is calculated, not measured: it uses a PBE-relaxed structure and Cu Kα (λ = 1.5418 Å).

Largest 10 diffraction maxima, by angle, 10° ≤ 2θ ≤ 80°:
- 2θ 31.63, I = 50, (2 0 1)
- 2θ 34.23, I = 100, (3 1 0)
- 2θ 34.55, I = 55, (1 3 1)
- 2θ 35.31, I = 69, (2 0 -2)
- 2θ 38.60, I = 83, (0 4 1)
- 2θ 41.12, I = 30, (2 4 0)
- 2θ 41.94, I = 47, (3 3 -1)
- 2θ 42.13, I = 65, (2 4 -1)
- 2θ 46.56, I = 34, (2 0 2)
- 2θ 72.35, I = 38, (0 8 0)

Cell and atoms:
a b c (Å): 8.4709 10.4412 5.4194
angles (deg): 90.00 106.62 90.00
Space group C2/m (No. 12)
Unique sites:
Cu (0.0000, 0.0000, 0.0000) x2
B (0.0000, 0.5000, 0.0000) x2
B (0.1652, 0.1700, 0.7145) x8
Pt (0.0000, 0.0000, 0.5000) x2
Pt (0.0952, 0.2279, 0.3268) x8
Pt (0.1530, 0.5000, 0.3922) x4
Pt (0.1857, 0.3708, 0.9209) x8


[4]
Diffraction record for Dy2YTl2Cd2. The powder XRD pattern is calculated, not measured: it uses a PBE-relaxed structure and Cu Kα (λ = 1.5418 Å).

Largest 10 diffraction maxima, by angle, 10° ≤ 2θ ≤ 80°:
- 2θ 20.38, I = 11, (0 0 6)
- 2θ 31.62, I = 100, (1 0 7)
- 2θ 34.36, I = 15, (0 1 8)
- 2θ 35.88, I = 91, (1 1 0)
- 2θ 41.61, I = 11, (1 1 6)
- 2θ 48.56, I = 30, (0 2 7)
- 2θ 61.84, I = 29, (2 1 7)
- 2θ 64.49, I = 16, (3 0 0)
- 2θ 65.22, I = 11, (1 1 15)
- 2θ 76.05, I = 14, (2 2 0)

Cell and atoms:
a b c (Å): 5.0053 5.0053 26.1496
angles (deg): 90.00 90.00 120.00
Space group R-3m (No. 166, hexagonal axes)
Unique sites:
Dy (0.0000, 0.0000, 0.1329) x6
Y (0.0000, 0.0000, 0.0000) x3
Tl (0.0000, 0.0000, 0.2702) x6
Cd (0.0000, 0.0000, 0.4276) x6


[5]
Diffraction record for TmSc2PaN4. The powder XRD pattern is calculated, not measured: it uses a PBE-relaxed structure and Cu Kα (λ = 1.5418 Å).

Largest 10 diffraction maxima, by angle, 10° ≤ 2θ ≤ 80°:
- 2θ 16.32, I = 87, (1 0 0)
- 2θ 31.34, I = 40, (0 1 1)
- 2θ 32.83, I = 100, (0 0 2)
- 2θ 32.99, I = 33, (2 0 0)
- 2θ 38.06, I = 70, (1 1 1)
- 2θ 38.29, I = 34, (2 0 -2)
- 2θ 41.78, I = 19, (2 1 -1)
- 2θ 54.98, I = 35, (2 0 2)
- 2θ 55.21, I = 23, (3 1 -1)
- 2θ 65.42, I = 20, (1 1 3)

Cell and atoms:
a b c (Å): 5.7517 3.3482 5.7814
angles (deg): 90.00 109.22 90.00
Space group P2/m (No. 10)
Unique sites:
Tm (0.0000, 0.0000, 0.0000) x1
Sc (0.5000, 0.0000, 0.5000) x1
Sc (0.5000, 0.5000, 0.0000) x1
Pa (0.0000, 0.5000, 0.5000) x1
N (0.2545, 0.5000, 0.2591) x2
N (0.2619, 0.0000, 0.7535) x2


[6]
Diffraction record for KCdIn2Hg4. The powder XRD pattern is calculated, not measured: it uses a PBE-relaxed structure and Cu Kα (λ = 1.5418 Å).

Largest 10 diffraction maxima, by angle, 10° ≤ 2θ ≤ 80°:
- 2θ 23.29, I = 27, (1 0 4)
- 2θ 30.04, I = 100, (0 1 8)
- 2θ 36.06, I = 100, (1 1 0)
- 2θ 36.59, I = 50, (0 1 11)
- 2θ 47.62, I = 28, (2 0 8)
- 2θ 52.31, I = 18, (2 0 11)
- 2θ 57.40, I = 23, (1 0 19)
- 2θ 61.15, I = 26, (1 2 8)
- 2θ 64.84, I = 18, (3 0 0)
- 2θ 65.18, I = 19, (1 2 11)

Cell and atoms:
a b c (Å): 4.9815 4.9815 32.8603
angles (deg): 90.00 90.00 120.00
Space group R-3m (No. 166, hexagonal axes)
Unique sites:
K (0.0000, 0.0000, 0.0000) x3
Cd (0.0000, 0.0000, 0.5000) x3
In (0.0000, 0.0000, 0.2373) x6
Hg (0.0000, 0.0000, 0.1325) x6
Hg (0.0000, 0.0000, 0.3946) x6


[7]
Diffraction record for HSe. The powder XRD pattern is calculated, not measured: it uses a PBE-relaxed structure and Cu Kα (λ = 1.5418 Å).

Largest 10 diffraction maxima, by angle, 10° ≤ 2θ ≤ 80°:
- 2θ 20.96, I = 100, (1 1 0)
- 2θ 28.73, I = 19, (2 0 0)
- 2θ 30.86, I = 19, (0 2 0)
- 2θ 33.80, I = 14, (2 0 -2)
- 2θ 34.40, I = 8, (1 1 1)
- 2θ 37.75, I = 17, (1 1 -2)
- 2θ 42.36, I = 16, (3 1 -2)
- 2θ 42.67, I = 13, (2 2 0)
- 2θ 46.42, I = 11, (2 2 -2)
- 2θ 49.41, I = 10, (1 3 0)

Cell and atoms:
a b c (Å): 7.5323 5.7945 5.3911
angles (deg): 90.00 124.41 90.00
Space group C2 (No. 5)
Unique sites:
H (0.1981, 0.0000, 0.4431) x4
Se (0.0335, 0.1917, 0.3067) x4


[8]
Diffraction record for OsRh2W. The powder XRD pattern is calculated, not measured: it uses a PBE-relaxed structure and Cu Kα (λ = 1.5418 Å).

Largest 10 diffraction maxima, by angle, 10° ≤ 2θ ≤ 80°:
- 2θ 18.74, I = 7, (0 0 1)
- 2θ 25.01, I = 5, (2 0 -1)
- 2θ 40.03, I = 34, (2 0 -2)
- 2θ 40.27, I = 100, (4 0 0)
- 2θ 46.23, I = 22, (2 0 2)
- 2θ 47.04, I = 43, (3 1 -1)
- 2θ 67.93, I = 14, (1 1 -3)
- 2θ 68.24, I = 14, (5 1 1)
- 2θ 68.54, I = 7, (6 0 -2)
- 2θ 68.88, I = 7, (0 2 0)

Cell and atoms:
a b c (Å): 9.0841 2.7262 4.8005
angles (deg): 90.00 99.49 90.00
Space group Cm (No. 8)
Unique sites:
Os (0.0000, 0.0000, 0.0000) x2
Rh (0.0036, 0.5000, 0.4930) x2
Rh (0.2454, 0.5000, 0.2294) x2
W (0.2507, 0.0000, 0.7349) x2


[9]
Diffraction record for Li3U3CuTe8. The powder XRD pattern is calculated, not measured: it uses a PBE-relaxed structure and Cu Kα (λ = 1.5418 Å).

Largest 10 diffraction maxima, by angle, 10° ≤ 2θ ≤ 80°:
- 2θ 12.46, I = 43, (0 0 3)
- 2θ 24.64, I = 27, (0 2 1)
- 2θ 29.58, I = 100, (0 2 4)
- 2θ 32.21, I = 14, (2 0 5)
- 2θ 41.92, I = 39, (2 0 8)
- 2θ 42.73, I = 37, (2 2 0)
- 2θ 52.82, I = 20, (4 0 4)
- 2θ 69.03, I = 17, (2 2 12)
- 2θ 70.19, I = 17, (2 4 4)
- 2θ 77.69, I = 13, (4 2 8)

Cell and atoms:
a b c (Å): 8.4650 8.4650 21.3173
angles (deg): 90.00 90.00 120.00
Space group R-3m (No. 166, hexagonal axes)
Unique sites:
Li (0.0000, 0.5000, 0.0000) x9
U (0.0000, 0.5000, 0.5000) x9
Cu (0.0000, 0.0000, 0.5000) x3
Te (0.0000, 0.0000, 0.2549) x6
Te (0.0122, 0.5061, 0.2481) x18


[10]
Diffraction record for BaSr5Ca2. The powder XRD pattern is calculated, not measured: it uses a PBE-relaxed structure and Cu Kα (λ = 1.5418 Å).

Largest 10 diffraction maxima, by angle, 10° ≤ 2θ ≤ 80°:
- 2θ 25.96, I = 100, (2 0 1)
- 2θ 29.93, I = 35, (2 4 0)
- 2θ 30.32, I = 17, (0 0 2)
- 2θ 42.84, I = 13, (4 0 0)
- 2θ 43.13, I = 25, (2 4 2)
- 2θ 50.78, I = 30, (4 4 1)
- 2θ 51.28, I = 15, (2 0 3)
- 2θ 53.39, I = 13, (4 0 2)
- 2θ 68.98, I = 12, (4 4 3)
- 2θ 78.68, I = 8, (6 4 2)

Cell and atoms:
a b c (Å): 8.4461 16.8816 5.8952
angles (deg): 90.00 90.00 90.00
Space group Pbam (No. 55)
Unique sites:
Ba (0.0000, 0.0000, 0.0000) x2
Sr (0.0000, 0.5000, 0.0000) x2
Sr (0.0033, 0.2516, 0.0000) x4
Sr (0.2458, 0.6268, 0.5000) x4
Ca (0.2499, 0.3735, 0.5000) x4


[11]
Diffraction record for AcNd6Dy4. The powder XRD pattern is calculated, not measured: it uses a PBE-relaxed structure and Cu Kα (λ = 1.5418 Å).

Largest 10 diffraction maxima, by angle, 10° ≤ 2θ ≤ 80°:
- 2θ 27.62, I = 28, (1 1 4)
- 2θ 28.47, I = 33, (1 0 5)
- 2θ 28.67, I = 78, (2 0 2)
- 2θ 30.16, I = 39, (0 0 6)
- 2θ 30.49, I = 100, (2 1 1)
- 2θ 33.68, I = 80, (2 0 4)
- 2θ 35.82, I = 31, (1 1 6)
- 2θ 38.30, I = 30, (2 2 0)
- 2θ 39.51, I = 34, (2 1 5)
- 2θ 57.39, I = 29, (4 1 1)

Cell and atoms:
a b c (Å): 6.6472 6.6472 17.7803
angles (deg): 90.00 90.00 90.00
Space group I-42m (No. 121)
Unique sites:
Ac (0.0000, 0.0000, 0.0000) x2
Nd (0.0000, 0.5000, 0.0000) x4
Nd (0.1803, 0.1803, 0.3664) x8
Dy (0.1875, 0.1875, 0.1797) x8